Theoretical powder X-ray diffraction pattern
Compound: NpGaH
Radiation: a wavelength of 1.5418 Å
Structure: a crystal structure in Alexandria, relaxed with PBE
No peak broadening, texture or thermal motion is included.

Principal peaks in the range 10° ≤ 2θ ≤ 90°, by angle:
d [Å]	two_theta	intensity
5.121	17.32	61
2.670	33.57	48
2.641	33.94	48
2.560	35.05	100
2.441	36.82	39
2.164	41.74	26
2.050	44.18	22
1.681	54.59	26

Structural model:
Cell lengths 6.8932, 6.6284, 5.8674 Å; angles 66.64, 61.98, 51.39 degrees
Atoms (fractional coordinates):
Np 0.0000 0.0000 0.0000
Np 0.0000 0.0000 0.5000
Np 0.0000 0.5000 0.0000
Np 0.5000 0.0000 0.0000
Ga 0.2531 0.2531 0.4969
Ga 0.4969 0.4969 0.2531
Ga 0.5031 0.5031 0.7469
Ga 0.7469 0.7469 0.5031
H 0.1466 0.6034 0.1466
H 0.3966 0.8534 0.3966
H 0.6034 0.1466 0.6034
H 0.8534 0.3966 0.8534